Record 1
For TlSb3O, the PBE geometry in Alexandria gives the theoretical powder diffraction line list in this record (λ = 1.5418 Å (Cu Kα)).
Kinematic intensities with the Lorentz-polarization factor, no thermal factor.

The 6 most intense peaks (15 to 90 degrees two-theta), low angle first:
2θ = 31.4°, I 1000, (1 1 1)
2θ = 36.4°, I 569, (2 0 0)
2θ = 52.4°, I 395, (2 2 0)
2θ = 62.4°, I 422, (3 1 1)
2θ = 85.8°, I 180, (3 3 1)
2θ = 88.6°, I 182, (4 2 0)

Crystal structure
a b c (Å): 4.9353 4.9353 4.9353
angles (deg): 90.00 90.00 90.00
Space group Pm-3m (No. 221)
Symmetry-distinct sites (fractional):
Tl  0.0000  0.0000  0.0000 x1
Sb  0.0000  0.5000  0.5000 x3
O  0.5000  0.5000  0.5000 x1

---

Record 2
For Tl3SbO7, the PBE geometry in Alexandria gives the theoretical powder diffraction line list in this record (λ = 1.5418 Å (Cu Kα)).
Kinematic intensities with the Lorentz-polarization factor, no thermal factor.

The 6 most intense peaks (15 to 90 degrees two-theta), low angle first:
2θ = 28.8°, I 969, (0 2 2)
2θ = 29.1°, I 1000, (2 2 0)
2θ = 33.6°, I 497, (2 0 2)
2θ = 48.1°, I 568, (2 4 2)
2θ = 57.0°, I 438, (2 2 4)
2θ = 57.5°, I 277, (4 2 2)

Crystal structure
a b c (Å): 7.4991 10.7234 7.5910
angles (deg): 90.00 90.00 90.00
Space group C222_1 (No. 20)
Symmetry-distinct sites (fractional):
Tl  0.0010  0.0000  0.0000 x4
Tl  0.2395  0.2634  0.7502 x8
Sb  0.0001  0.5000  0.0000 x4
O  0.0000  0.1266  0.2500 x4
O  0.0000  0.1401  0.7500 x4
O  0.0000  0.4472  0.7500 x4
O  0.1969  0.3737  0.0224 x8
O  0.1973  0.3740  0.4778 x8

---

Record 3
For TlSbO4, the PBE geometry in Alexandria gives the theoretical powder diffraction line list in this record (λ = 1.5418 Å (Cu Kα)).
Kinematic intensities with the Lorentz-polarization factor, no thermal factor.

The 6 most intense peaks (15 to 90 degrees two-theta), low angle first:
2θ = 23.6°, I 235, (1 1 0)
2θ = 24.9°, I 306, (1 1 1)
2θ = 28.5°, I 1000, (1 1 2)
2θ = 31.8°, I 259, (0 0 4)
2θ = 35.0°, I 270, (0 2 2)
2θ = 51.1°, I 258, (2 2 2)

Crystal structure
a b c (Å): 4.9822 5.7680 11.2402
angles (deg): 90.00 90.00 90.00
Space group Pbcn (No. 60)
Symmetry-distinct sites (fractional):
Tl  0.0000  0.0000  0.0000 x4
Sb  0.0000  0.3271  0.2500 x4
O  0.1638  0.3045  0.0893 x8
O  0.2442  0.0675  0.3162 x8

---

Record 4
For Tl3Sb8O24, the PBE geometry in Alexandria gives the theoretical powder diffraction line list in this record (λ = 1.5418 Å (Cu Kα)).
Kinematic intensities with the Lorentz-polarization factor, no thermal factor.

The 6 most intense peaks (15 to 90 degrees two-theta), low angle first:
2θ = 17.0°, I 343, (0 1 -1)
2θ = 28.4°, I 793, (2 1 -1)
2θ = 28.5°, I 289, (0 1 -3)
2θ = 29.7°, I 1000, (0 2 2)
2θ = 45.1°, I 257, (3 3 0)
2θ = 49.4°, I 370, (4 2 2)

Crystal structure
a b c (Å): 7.3841 7.3843 12.7232
angles (deg): 73.13 73.13 60.01
Space group P1 (No. 1)
Symmetry-distinct sites (fractional):
Tl  0.0000  0.0000  0.0000 x1
Tl  0.2271  0.7078  0.8371 x1
Tl  0.6710  0.2204  0.4329 x1
Sb  0.2205  0.3022  0.7487 x1
Sb  0.2238  0.3021  0.2496 x1
Sb  0.2259  0.8016  0.2496 x1
Sb  0.4729  0.0559  0.9977 x1
Sb  0.7205  0.8100  0.7483 x1
Sb  0.7226  0.8016  0.2495 x1
Sb  0.7278  0.3023  0.7487 x1
Sb  0.9742  0.5513  0.4997 x1
O  0.0075  0.1928  0.7914 x1
O  0.0088  0.5926  0.7853 x1
O  0.1109  0.0911  0.2839 x1
O  0.1257  0.7214  0.4092 x1
O  0.1361  0.3151  0.4122 x1
O  0.2101  0.3963  0.5874 x1
O  0.2258  0.2055  0.9150 x1
O  0.3072  0.8941  0.0851 x1
O  0.3116  0.2900  0.0863 x1
O  0.3310  0.5169  0.2133 x1
O  0.4219  0.4197  0.7357 x1
O  0.4333  0.0183  0.7138 x1
O  0.5122  0.6914  0.2839 x1
O  0.5134  0.0911  0.2838 x1
O  0.6124  0.5928  0.7853 x1
O  0.6331  0.8237  0.9096 x1
O  0.6526  0.2059  0.9150 x1
O  0.7132  0.8944  0.0851 x1
O  0.7436  0.7220  0.4090 x1
O  0.8054  0.3965  0.5874 x1
O  0.8111  0.7905  0.5867 x1
O  0.8338  0.0184  0.7138 x1
O  0.9383  0.5170  0.2132 x1
O  0.9424  0.9172  0.1978 x1

---

Record 5
For TlSbO4, the PBE geometry in Alexandria gives the theoretical powder diffraction line list in this record (λ = 1.5418 Å (Cu Kα)).
Kinematic intensities with the Lorentz-polarization factor, no thermal factor.

The 6 most intense peaks (15 to 90 degrees two-theta), low angle first:
2θ = 25.6°, I 1000, (1 1 -1)
2θ = 31.7°, I 244, (2 0 0)
2θ = 32.1°, I 448, (1 1 1)
2θ = 33.3°, I 212, (0 0 2)
2θ = 48.9°, I 184, (3 1 -1)
2θ = 49.7°, I 174, (0 2 2)

Crystal structure
a b c (Å): 6.0187 5.0197 5.7437
angles (deg): 90.00 110.46 90.00
Space group P2_1/c (No. 14)
Symmetry-distinct sites (fractional):
Tl  0.0000  0.0000  0.0000 x2
Sb  0.5000  0.0000  0.5000 x2
O  0.1730  0.1487  0.3772 x4
O  0.3777  0.7142  0.6788 x4

---

Record 6
For UTlSbO6, the PBE geometry in Alexandria gives the theoretical powder diffraction line list in this record (λ = 1.5418 Å (Cu Kα)).
Kinematic intensities with the Lorentz-polarization factor, no thermal factor.

The 6 most intense peaks (15 to 90 degrees two-theta), low angle first:
2θ = 16.3°, I 276, (0 0 2)
2θ = 26.7°, I 1000, (1 2 1)
2θ = 27.0°, I 268, (0 1 3)
2θ = 27.7°, I 345, (0 2 2)
2θ = 29.1°, I 567, (2 0 2)
2θ = 43.8°, I 231, (3 2 1)

Crystal structure
a b c (Å): 7.4347 7.9676 10.8725
angles (deg): 90.00 90.00 90.00
Space group Imma (No. 74)
Symmetry-distinct sites (fractional):
U  0.0000  0.0000  0.0000 x4
Tl  0.0000  0.2500  0.4370 x4
Sb  0.2500  0.2500  0.7500 x4
O  0.0000  0.2500  0.0639 x4
O  0.0000  0.2500  0.6814 x4
O  0.1963  0.0717  0.8756 x16

---

Record 7
For UTlSbO5, the PBE geometry in Alexandria gives the theoretical powder diffraction line list in this record (λ = 1.5418 Å (Cu Kα)).
Kinematic intensities with the Lorentz-polarization factor, no thermal factor.

The 6 most intense peaks (15 to 90 degrees two-theta), low angle first:
2θ = 24.4°, I 1000, (2 0 0)
2θ = 29.0°, I 375, (0 2 2)
2θ = 29.4°, I 597, (1 3 0)
2θ = 30.2°, I 237, (1 1 2)
2θ = 33.7°, I 188, (2 2 -2)
2θ = 46.1°, I 199, (3 3 0)

Crystal structure
a b c (Å): 7.6078 10.0379 8.0953
angles (deg): 90.00 106.08 90.00
Space group C2/c (No. 15)
Symmetry-distinct sites (fractional):
U  0.0000  0.0000  0.0000 x4
Tl  0.0000  0.3281  0.2500 x4
Sb  0.0000  0.3269  0.7500 x4
O  0.0000  0.0722  0.2500 x4
O  0.1050  0.1965  0.6194 x8
O  0.2438  0.0761  0.0385 x8

---

What did the sixth record say?
For UTlSbO6, the PBE geometry in Alexandria gives the theoretical powder diffraction line list in this record (λ = 1.5418 Å (Cu Kα)).
Kinematic intensities with the Lorentz-polarization factor, no thermal factor.

The 6 most intense peaks (15 to 90 degrees two-theta), low angle first:
2θ = 16.3°, I 276, (0 0 2)
2θ = 26.7°, I 1000, (1 2 1)
2θ = 27.0°, I 268, (0 1 3)
2θ = 27.7°, I 345, (0 2 2)
2θ = 29.1°, I 567, (2 0 2)
2θ = 43.8°, I 231, (3 2 1)

Crystal structure
a b c (Å): 7.4347 7.9676 10.8725
angles (deg): 90.00 90.00 90.00
Space group Imma (No. 74)
Symmetry-distinct sites (fractional):
U  0.0000  0.0000  0.0000 x4
Tl  0.0000  0.2500  0.4370 x4
Sb  0.2500  0.2500  0.7500 x4
O  0.0000  0.2500  0.0639 x4
O  0.0000  0.2500  0.6814 x4
O  0.1963  0.0717  0.8756 x16